Sr2NiClO3: simulated X-ray diffraction stick pattern (copper Kα), based on a structure optimized by DFT (GGA+U).

Structure:
```
data_Sr2NiClO3
_space_group_name_H-M_alt 'P 4/n m m'
_space_group_IT_number 129
_cell_length_a 3.897
_cell_length_b 3.897
_cell_length_c 14.713
_cell_angle_alpha 90.00
_cell_angle_beta 90.00
_cell_angle_gamma 90.00
loop_
_space_group_symop_operation_xyz
'x,y,z'
'-x,-y,-z'
'-y+1/2,x,z'
'y+1/2,-x,-z'
'-x+1/2,-y+1/2,z'
'x+1/2,y+1/2,-z'
'y,-x+1/2,z'
'-y,x+1/2,-z'
'x+1/2,-y,-z'
'-x+1/2,y,z'
'-y,-x,-z'
'y,x,z'
'-x,y+1/2,-z'
'x,-y+1/2,z'
'y+1/2,x+1/2,-z'
'-y+1/2,-x+1/2,z'
loop_
_atom_site_label
_atom_site_type_symbol
_atom_site_fract_x
_atom_site_fract_y
_atom_site_fract_z
Sr1 Sr 0.250 0.250 0.094
Sr2 Sr 0.250 0.250 0.339
Ni1 Ni 0.250 0.250 0.794
Cl1 Cl 0.250 0.250 0.579
O1 O 0.250 0.250 0.927
O2 O 0.250 0.750 0.226
```

The 10 most intense peaks (2θ from 5° to 70°), sorted by position:
2θ/deg  d (Å)  intensity  hkl
6.01  14.713  30  0 0 1
12.03  7.356  28  0 0 2
29.27  3.051  25  1 0 3
32.50  2.755  88  1 1 0
33.50  2.675  100  1 0 4
38.33  2.348  21  1 0 5
40.92  2.205  25  1 1 4
46.62  1.948  47  2 0 0
58.62  1.575  38  2 1 4
68.05  1.378  14  2 2 0